Entry 1:
# Mg3Cu2P3O12
Theoretical X-ray powder pattern, Cu Ka. Input: a PBE-relaxed structure.
No peak broadening, texture or thermal motion is included.

Atomic structure:
Cell lengths 8.6592, 8.6592, 6.4791 Å; angles 108.38, 108.38, 93.88 degrees
Element x y z (fractional)
1 Mg 0.1266 0.4420 0.8695
2 Mg 0.2296 0.7704 0.7500
3 Mg 0.4420 0.1266 0.3695
4 Mg 0.5580 0.8734 0.6305
5 Mg 0.7704 0.2296 0.2500
6 Mg 0.8734 0.5580 0.1305
7 Cu 0.0000 0.0000 0.0000
8 Cu 0.0000 0.0000 0.5000
9 Cu 0.4974 0.5026 0.2500
10 Cu 0.5026 0.4974 0.7500
11 P 0.1631 0.3819 0.3730
12 P 0.1995 0.8005 0.2500
13 P 0.3819 0.1631 0.8730
14 P 0.6181 0.8369 0.1270
15 P 0.8005 0.1995 0.7500
16 P 0.8369 0.6181 0.6270
17 O 0.0249 0.7809 0.2742
18 O 0.0359 0.2193 0.2992
19 O 0.1116 0.4572 0.1839
20 O 0.1681 0.5074 0.6082
21 O 0.2193 0.0359 0.7992
22 O 0.2191 0.9751 0.2258
23 O 0.2220 0.6848 0.0300
24 O 0.3152 0.7780 0.4700
25 O 0.3478 0.3492 0.4239
26 O 0.3492 0.3478 0.9239
27 O 0.4572 0.1116 0.6839
28 O 0.4926 0.8319 0.8918
29 O 0.5074 0.1681 0.1082
30 O 0.5428 0.8884 0.3161
31 O 0.6508 0.6522 0.0761
32 O 0.6522 0.6508 0.5761
33 O 0.6848 0.2220 0.5300
34 O 0.7780 0.3152 0.9700
35 O 0.7809 0.0249 0.7742
36 O 0.7807 0.9641 0.2008
37 O 0.8319 0.4926 0.3918
38 O 0.8884 0.5428 0.8161
39 O 0.9641 0.7807 0.7008
40 O 0.9751 0.2191 0.7258

Largest 6 diffraction maxima, by angle, 10 to 90 degrees two-theta:
| 2θ (°) | d [Å] | Rel. int. |
| --- | --- | --- |
| 22.00 | 4.041 | 32 |
| 30.61 | 2.921 | 69 |
| 33.07 | 2.709 | 100 |
| 34.20 | 2.622 | 28 |
| 35.43 | 2.534 | 40 |
| 36.74 | 2.446 | 41 |

***

Entry 2:
# MgCuPO4
Theoretical X-ray powder pattern, Cu Ka. Input: a PBE-relaxed structure.
No peak broadening, texture or thermal motion is included.

Atomic structure:
Cell lengths 4.8696, 4.8696, 4.8696 Å; angles 107.28, 107.28, 113.95 degrees
Element x y z (fractional)
1 Mg 0.0000 0.0000 0.0000
2 Cu 0.7500 0.2500 0.5000
3 P 0.5000 0.5000 0.0000
4 O 0.1512 0.1828 0.7026
5 O 0.4802 0.4486 0.2974
6 O 0.5514 0.8488 0.0316
7 O 0.8172 0.5198 0.9684

Largest 6 diffraction maxima, by angle, 10 to 90 degrees two-theta:
| 2θ (°) | d [Å] | Rel. int. |
| --- | --- | --- |
| 22.76 | 3.908 | 100 |
| 30.98 | 2.887 | 42 |
| 38.78 | 2.322 | 46 |
| 40.54 | 2.225 | 46 |
| 44.38 | 2.041 | 22 |
| 61.66 | 1.504 | 40 |

***

Entry 3:
# MgCuPO4
Theoretical X-ray powder pattern, Cu Ka. Input: a PBE-relaxed structure.
No peak broadening, texture or thermal motion is included.

Atomic structure:
Cell lengths 5.0373, 5.0373, 5.0373 Å; angles 120.03, 120.03, 89.95 degrees
Element x y z (fractional)
1 Mg 0.0000 0.0000 0.0000
2 Cu 0.5000 0.5000 0.0000
3 P 0.7500 0.2500 0.5000
4 O 0.0395 0.5661 0.8610
5 O 0.4339 0.2948 0.4734
6 O 0.7052 0.1785 0.1390
7 O 0.8215 0.9605 0.5266

Largest 6 diffraction maxima, by angle, 10 to 90 degrees two-theta:
| 2θ (°) | d [Å] | Rel. int. |
| --- | --- | --- |
| 21.61 | 4.112 | 74 |
| 25.00 | 3.562 | 25 |
| 35.65 | 2.518 | 100 |
| 42.08 | 2.147 | 26 |
| 57.90 | 1.593 | 19 |
| 64.04 | 1.454 | 42 |

***

Entry 4:
# MgCu2P2O8
Theoretical X-ray powder pattern, Cu Ka. Input: a PBE-relaxed structure.
No peak broadening, texture or thermal motion is included.

Atomic structure:
Cell lengths 4.9006, 5.3314, 6.3782 Å; angles 71.82, 86.98, 68.71 degrees
Element x y z (fractional)
1 Mg 0.0000 0.0000 0.0000
2 Cu 0.4403 0.5308 0.3759
3 Cu 0.7186 0.7576 0.6854
4 P 0.0802 0.1063 0.4672
5 P 0.3606 0.4004 0.9139
6 O 0.0534 0.3975 0.8639
7 O 0.1055 0.9113 0.3227
8 O 0.3328 0.6013 0.0547
9 O 0.3868 0.1081 0.5185
10 O 0.4851 0.5310 0.6885
11 O 0.5673 0.0987 0.0273
12 O 0.8732 0.4102 0.3487
13 O 0.9554 0.9798 0.6893

Largest 6 diffraction maxima, by angle, 10 to 90 degrees two-theta:
| 2θ (°) | d [Å] | Rel. int. |
| --- | --- | --- |
| 14.65 | 6.046 | 47 |
| 28.74 | 3.107 | 77 |
| 29.66 | 3.012 | 100 |
| 31.92 | 2.804 | 82 |
| 34.51 | 2.599 | 69 |
| 37.03 | 2.428 | 39 |

***

Entry 5:
# MgCuP4Ru2O14
Theoretical X-ray powder pattern, Cu Ka. Input: a PBE-relaxed structure.
No peak broadening, texture or thermal motion is included.

Atomic structure:
Cell lengths 4.9918, 6.8158, 8.5712 Å; angles 93.83, 94.23, 105.40 degrees
Element x y z (fractional)
1 Mg 0.0000 0.0000 0.0000
2 Cu 0.1211 0.2753 0.7353
3 P 0.0893 0.7790 0.6440
4 P 0.1006 0.4445 0.0758
5 P 0.4773 0.8396 0.1865
6 P 0.6965 0.3775 0.5401
7 Ru 0.0867 0.1080 0.3626
8 Ru 0.5952 0.6092 0.8600
9 O 0.2042 0.9597 0.5513
10 O 0.2455 0.9531 0.1821
11 O 0.2748 0.3722 0.9475
12 O 0.3036 0.6724 0.6993
13 O 0.3274 0.6007 0.1999
14 O 0.4730 0.3176 0.4035
15 O 0.5960 0.8572 0.0231
16 O 0.5970 0.3631 0.7065
17 O 0.6952 0.9013 0.3239
18 O 0.8550 0.6140 0.5253
19 O 0.8979 0.5578 0.0185
20 O 0.9196 0.2535 0.5333
21 O 0.9297 0.8425 0.7839
22 O 0.9754 0.2488 0.1548

Largest 6 diffraction maxima, by angle, 10 to 90 degrees two-theta:
| 2θ (°) | d [Å] | Rel. int. |
| --- | --- | --- |
| 16.33 | 5.430 | 100 |
| 19.77 | 4.491 | 43 |
| 25.86 | 3.445 | 30 |
| 28.49 | 3.133 | 54 |
| 30.20 | 2.959 | 34 |
| 37.55 | 2.395 | 48 |

***

Entry 6:
# MgCuP4Ru2O14
Theoretical X-ray powder pattern, Cu Ka. Input: a PBE-relaxed structure.
No peak broadening, texture or thermal motion is included.

Atomic structure:
Cell lengths 5.0552, 6.8290, 8.4034 Å; angles 92.11, 91.61, 107.65 degrees
Element x y z (fractional)
1 Mg 0.0000 0.0000 0.0000
2 Cu 0.5360 0.7959 0.6634
3 P 0.1673 0.0417 0.3732
4 P 0.5311 0.1397 0.9107
5 P 0.5722 0.4486 0.4495
6 P 0.9629 0.5467 0.9897
7 Ru 0.0500 0.2964 0.6749
8 Ru 0.5491 0.7910 0.1875
9 O 0.0511 0.5498 0.8172
10 O 0.0516 0.0389 0.5401
11 O 0.1827 0.5645 0.1197
12 O 0.2868 0.2075 0.8511
13 O 0.3458 0.8972 0.3640
14 O 0.3521 0.2736 0.3382
15 O 0.3921 0.5160 0.5793
16 O 0.3943 0.9700 0.0247
17 O 0.7017 0.6245 0.3435
18 O 0.7106 0.0584 0.7908
19 O 0.7527 0.3129 0.0178
20 O 0.7775 0.3500 0.5160
21 O 0.7866 0.6974 0.0049
22 O 0.9434 0.0132 0.2347

Largest 6 diffraction maxima, by angle, 10 to 90 degrees two-theta:
| 2θ (°) | d [Å] | Rel. int. |
| --- | --- | --- |
| 16.85 | 5.261 | 51 |
| 17.65 | 5.024 | 65 |
| 22.11 | 4.020 | 51 |
| 26.18 | 3.404 | 54 |
| 28.73 | 3.107 | 100 |
| 28.89 | 3.090 | 81 |

***

Entry 7:
# MgCuP4Ru2O14
Theoretical X-ray powder pattern, Cu Ka. Input: a PBE-relaxed structure.
No peak broadening, texture or thermal motion is included.

Atomic structure:
Cell lengths 5.0342, 6.7137, 8.4200 Å; angles 92.63, 90.22, 107.86 degrees
Element x y z (fractional)
1 Mg 0.0000 0.0000 0.0000
2 Cu 0.5234 0.9500 0.8036
3 P 0.1752 0.1377 0.5881
4 P 0.5577 0.2509 0.1202
5 P 0.5996 0.5525 0.6555
6 P 0.9892 0.6751 0.1912
7 Ru 0.0827 0.4198 0.8843
8 Ru 0.5832 0.9019 0.3916
9 O 0.0709 0.7007 0.0119
10 O 0.0818 0.1325 0.7671
11 O 0.2173 0.6782 0.3084
12 O 0.3012 0.2945 0.0508
13 O 0.3585 0.9886 0.5770
14 O 0.3677 0.3697 0.5563
15 O 0.4329 0.6373 0.7864
16 O 0.4494 0.0824 0.2361
17 O 0.7270 0.7193 0.5391
18 O 0.7322 0.1816 0.9830
19 O 0.7625 0.4498 0.2115
20 O 0.8059 0.4542 0.7202
21 O 0.8286 0.8404 0.2073
22 O 0.9429 0.1163 0.4677

Largest 6 diffraction maxima, by angle, 10 to 90 degrees two-theta:
| 2θ (°) | d [Å] | Rel. int. |
| --- | --- | --- |
| 17.02 | 5.210 | 57 |
| 17.86 | 4.967 | 38 |
| 21.52 | 4.129 | 50 |
| 26.47 | 3.367 | 36 |
| 28.62 | 3.119 | 35 |
| 29.13 | 3.066 | 100 |

***

Entry 8:
# MgCuP4Ru2O14
Theoretical X-ray powder pattern, Cu Ka. Input: a PBE-relaxed structure.
No peak broadening, texture or thermal motion is included.

Atomic structure:
Cell lengths 5.0545, 6.8217, 8.7015 Å; angles 90.81, 93.25, 106.13 degrees
Element x y z (fractional)
1 Mg 0.0000 0.0000 0.0000
2 Cu 0.5377 0.0847 0.4378
3 P 0.1464 0.3532 0.1370
4 P 0.5249 0.4194 0.6566
5 P 0.5443 0.7408 0.2209
6 P 0.9290 0.8134 0.7348
7 Ru 0.0366 0.5815 0.4389
8 Ru 0.5284 0.0866 0.9336
9 O 0.0069 0.8292 0.5678
10 O 0.0643 0.3409 0.3039
11 O 0.1715 0.8417 0.8610
12 O 0.3212 0.5822 0.1058
13 O 0.3238 0.2011 0.1134
14 O 0.3237 0.5293 0.5920
15 O 0.3758 0.8147 0.3432
16 O 0.3953 0.2469 0.7605
17 O 0.6690 0.9153 0.1133
18 O 0.6983 0.3525 0.5303
19 O 0.7526 0.5842 0.7659
20 O 0.7570 0.6389 0.2784
21 O 0.7687 0.9636 0.7817
22 O 0.9130 0.2989 0.0106

Largest 6 diffraction maxima, by angle, 10 to 90 degrees two-theta:
| 2θ (°) | d [Å] | Rel. int. |
| --- | --- | --- |
| 16.70 | 5.309 | 92 |
| 17.21 | 5.152 | 71 |
| 22.40 | 3.969 | 77 |
| 25.74 | 3.461 | 60 |
| 27.87 | 3.202 | 100 |
| 28.96 | 3.084 | 65 |

***

Entry 9:
# MgCuP4Ru2O14
Theoretical X-ray powder pattern, Cu Ka. Input: a PBE-relaxed structure.
No peak broadening, texture or thermal motion is included.

Atomic structure:
Cell lengths 4.9719, 6.8510, 8.4144 Å; angles 92.46, 91.55, 108.09 degrees
Element x y z (fractional)
1 Mg 0.0000 0.0000 0.0000
2 Cu 0.5993 0.4639 0.4478
3 P 0.1856 0.6977 0.1373
4 P 0.5394 0.8065 0.6641
5 P 0.6174 0.1252 0.2064
6 P 0.9658 0.2265 0.7322
7 Ru 0.0829 0.9615 0.4349
8 Ru 0.5781 0.4645 0.9313
9 O 0.0623 0.2209 0.5630
10 O 0.0968 0.6973 0.3087
11 O 0.1927 0.2402 0.8693
12 O 0.3183 0.9049 0.6181
13 O 0.3658 0.9478 0.1036
14 O 0.3715 0.5644 0.1109
15 O 0.4276 0.6334 0.7741
16 O 0.4744 0.1826 0.3537
17 O 0.7107 0.7503 0.5252
18 O 0.7280 0.2889 0.0882
19 O 0.7767 0.9868 0.7778
20 O 0.7849 0.3670 0.7500
21 O 0.8531 0.0251 0.2328
22 O 0.9525 0.6947 0.0077

Largest 6 diffraction maxima, by angle, 10 to 90 degrees two-theta:
| 2θ (°) | d [Å] | Rel. int. |
| --- | --- | --- |
| 16.79 | 5.282 | 27 |
| 19.48 | 4.556 | 25 |
| 22.22 | 4.001 | 24 |
| 26.57 | 3.355 | 39 |
| 28.91 | 3.088 | 100 |
| 35.83 | 2.506 | 18 |

***

Entry 10:
# SrMgCuP2O8
Theoretical X-ray powder pattern, Cu Ka. Input: a PBE-relaxed structure.
No peak broadening, texture or thermal motion is included.

Atomic structure:
Cell lengths 5.6525, 6.7517, 9.2298 Å; angles 109.19, 102.23, 99.41 degrees
Element x y z (fractional)
1 Sr 0.2397 0.1959 0.4403
2 Sr 0.7603 0.8041 0.5597
3 Mg 0.4896 0.4020 0.1480
4 Mg 0.5104 0.5980 0.8520
5 Cu 0.1434 0.8499 0.0468
6 Cu 0.8566 0.1501 0.9532
7 P 0.1036 0.5724 0.2576
8 P 0.3418 0.0274 0.8011
9 P 0.6582 0.9726 0.1989
10 P 0.8964 0.4276 0.7424
11 O 0.1184 0.4055 0.0958
12 O 0.1231 0.9293 0.8557
13 O 0.1512 0.4778 0.7087
14 O 0.1573 0.8007 0.2504
15 O 0.2398 0.9933 0.6254
16 O 0.3271 0.5539 0.3802
17 O 0.4479 0.1015 0.1805
18 O 0.4629 0.2695 0.9117
19 O 0.5371 0.7305 0.0883
20 O 0.5521 0.8985 0.8195
21 O 0.6729 0.4461 0.6198
22 O 0.7602 0.0067 0.3746
23 O 0.8427 0.1993 0.7496
24 O 0.8488 0.5222 0.2913
25 O 0.8769 0.0707 0.1443
26 O 0.8816 0.5945 0.9042

Largest 6 diffraction maxima, by angle, 10 to 90 degrees two-theta:
| 2θ (°) | d [Å] | Rel. int. |
| --- | --- | --- |
| 22.16 | 4.012 | 35 |
| 28.78 | 3.102 | 100 |
| 30.75 | 2.908 | 64 |
| 31.71 | 2.821 | 51 |
| 32.12 | 2.786 | 45 |
| 33.56 | 2.671 | 59 |

***

Entry 11:
# Sr2MgCuP2O8
Theoretical X-ray powder pattern, Cu Ka. Input: a PBE-relaxed structure.
No peak broadening, texture or thermal motion is included.

Atomic structure:
Cell lengths 8.1285, 8.1285, 6.2715 Å; angles 108.90, 108.90, 40.62 degrees
Element x y z (fractional)
1 Sr 0.2107 0.2107 0.2351
2 Sr 0.7893 0.7893 0.7649
3 Mg 0.0000 0.0000 0.5000
4 Cu 0.5000 0.5000 0.5000
5 P 0.1742 0.1742 0.7083
6 P 0.8258 0.8258 0.2917
7 O 0.0618 0.6246 0.4548
8 O 0.0943 0.0943 0.8146
9 O 0.2707 0.2707 0.8949
10 O 0.3754 0.9382 0.5452
11 O 0.6246 0.0618 0.4548
12 O 0.7293 0.7293 0.1051
13 O 0.9057 0.9057 0.1854
14 O 0.9382 0.3754 0.5452

Largest 6 diffraction maxima, by angle, 10 to 90 degrees two-theta:
| 2θ (°) | d [Å] | Rel. int. |
| --- | --- | --- |
| 12.37 | 7.154 | 100 |
| 15.05 | 5.886 | 44 |
| 24.44 | 3.643 | 99 |
| 28.54 | 3.128 | 56 |
| 31.71 | 2.822 | 54 |
| 38.94 | 2.313 | 39 |